Entry 1:
This entry pairs a crystal structure of Ba6Na2Ta2V2O17 with its computed X-ray powder pattern. Radiation: Cu Kα. Structure: a DFT-relaxed cell (GGA+U, Alexandria).
Kinematic intensities with the Lorentz-polarization factor, no thermal factor.

Principal peaks in the range 2θ = 15–90°, low angle first:
hkl 1 0 1, 5.122 Å, 2θ = 17.3°, rel. 20; hkl 1 0 4, 4.294 Å, 2θ = 20.7°, rel. 12; hkl 1 0 8, 3.074 Å, 2θ = 29.1°, rel. 48; hkl 1 1 0, 3.000 Å, 2θ = 29.8°, rel. 100; hkl 2 0 8, 2.147 Å, 2θ = 42.1°, rel. 27; hkl 1 1 10, 2.139 Å, 2θ = 42.3°, rel. 20; hkl 1 0 15, 1.894 Å, 2θ = 48.0°, rel. 13; hkl 2 1 8, 1.746 Å, 2θ = 52.4°, rel. 17; hkl 3 0 0, 1.732 Å, 2θ = 52.9°, rel. 20; hkl 2 2 0, 1.500 Å, 2θ = 61.9°, rel. 18

Structure:
```
data_Ba6Na2Ta2V2O17
_space_group_name_H-M_alt 'P 63/m m c'
_space_group_IT_number 194
_space_group_name_Hall '-P 6c 2c'
_cell_length_a 6.0001
_cell_length_b 6.0001
_cell_length_c 30.4966
_cell_angle_alpha 90.00
_cell_angle_beta 90.00
_cell_angle_gamma 120.00
loop_
_atom_site_label
_atom_site_type_symbol
_atom_site_fract_x
_atom_site_fract_y
_atom_site_fract_z
_atom_site_occupancy
Ba1 Ba 0.0000 0.0000 0.0000 1
Ba2 Ba 0.0000 0.0000 0.2500 1
Ba3 Ba 0.3333 0.6667 0.0902 1
Ba4 Ba 0.3333 0.6667 0.6815 1
Na1 Na 0.0000 0.0000 0.1244 1
Ta1 Ta 0.3333 0.6667 0.2016 1
V1 V 0.3333 0.6667 0.5517 1
O1 O 0.0316 0.5158 0.2500 1
O2 O 0.1754 0.3508 0.1700 1
O3 O 0.1756 0.3511 0.5717 1
O4 O 0.3333 0.6667 0.0049 1
```

Entry 2:
This entry pairs a crystal structure of BaNaTbWO6 with its computed X-ray powder pattern. Radiation: Cu Kα. Structure: a DFT-relaxed cell (GGA+U, Alexandria).
Kinematic intensities with the Lorentz-polarization factor, no thermal factor.

Principal peaks in the range 2θ = 15–90°, low angle first:
hkl 1 1 1, 4.866 Å, 2θ = 18.2°, rel. 13; hkl 2 0 0, 4.214 Å, 2θ = 21.1°, rel. 27; hkl 2 2 0, 2.980 Å, 2θ = 30.0°, rel. 100; hkl 3 1 1, 2.541 Å, 2θ = 35.3°, rel. 7; hkl 4 0 0, 2.107 Å, 2θ = 42.9°, rel. 30; hkl 4 2 0, 1.885 Å, 2θ = 48.3°, rel. 11; hkl 4 2 2, 1.720 Å, 2θ = 53.2°, rel. 41; hkl 4 4 0, 1.490 Å, 2θ = 62.3°, rel. 19; hkl 6 2 0, 1.333 Å, 2θ = 70.7°, rel. 18; hkl 6 4 2, 1.126 Å, 2θ = 86.4°, rel. 22

Structure:
```
data_BaNaTbWO6
_space_group_name_H-M_alt 'F -4 3 m'
_space_group_IT_number 216
_space_group_name_Hall 'F -4 2 3'
_cell_length_a 8.4280
_cell_length_b 8.4280
_cell_length_c 8.4280
_cell_angle_alpha 90.00
_cell_angle_beta 90.00
_cell_angle_gamma 90.00
loop_
_atom_site_label
_atom_site_type_symbol
_atom_site_fract_x
_atom_site_fract_y
_atom_site_fract_z
_atom_site_occupancy
Ba1 Ba 0.0000 0.0000 0.0000 1
Na1 Na 0.0000 0.0000 0.5000 1
Tb1 Tb 0.2500 0.2500 0.2500 1
W1 W 0.2500 0.2500 0.7500 1
O1 O 0.0179 0.2500 0.7500 1
```